# 1
Theoretical powder X-ray diffraction pattern of AgP4W for copper Kα, from a crystal structure in Alexandria, relaxed with GGA-PBE.

Structural model:
Cell lengths 5.0191, 5.0191, 5.0191 Å; angles 60.00, 60.00, 60.00 degrees
Fractional positions:
1 Ag 0.0000 0.0000 0.0000
2 P 0.1310 0.6230 0.6230
3 P 0.6230 0.1310 0.6230
4 P 0.6230 0.6230 0.1310
5 P 0.6230 0.6230 0.6230
6 W 0.2500 0.2500 0.2500

The 10 most intense peaks (2θ from 15° to 90°), by angle:
d/Å	two_theta	I_rel
4.098	21.69	58
2.510	35.78	93
2.140	42.23	100
2.049	44.20	8
1.628	56.51	14
1.449	64.29	33
1.366	68.71	31
1.255	75.81	20
1.200	79.96	10
1.122	86.77	15

=====

# 2
Theoretical powder X-ray diffraction pattern of CaH6CN3Cl3 for copper Kα, from a crystal structure in Alexandria, relaxed with GGA-PBE.

Structural model:
Cell lengths 8.6996, 7.1938, 17.3946 Å; angles 90.00, 119.98, 90.00 degrees
Fractional positions:
1 Ca 0.0008 0.0099 0.2508
2 Ca 0.0008 0.4901 0.7508
3 Ca 0.9992 0.5099 0.2492
4 Ca 0.9992 0.9901 0.7492
5 H 0.0844 0.7430 0.5709
6 H 0.0844 0.7570 0.0709
7 H 0.0846 0.7495 0.4712
8 H 0.0846 0.7505 0.9712
9 H 0.3578 0.7364 0.7076
10 H 0.3582 0.7493 0.4712
11 H 0.3582 0.7507 0.9712
12 H 0.3578 0.7636 0.2076
13 H 0.4425 0.2422 0.9291
14 H 0.4425 0.2578 0.4291
15 H 0.4427 0.2362 0.7924
16 H 0.4427 0.2638 0.2924
17 H 0.5573 0.7362 0.7076
18 H 0.5573 0.7638 0.2076
19 H 0.5575 0.7422 0.5709
20 H 0.5575 0.7578 0.0709
21 H 0.6422 0.2364 0.7924
22 H 0.6418 0.2493 0.0288
23 H 0.6418 0.2507 0.5288
24 H 0.6422 0.2636 0.2924
25 H 0.9154 0.2495 0.0288
26 H 0.9154 0.2505 0.5288
27 H 0.9156 0.2430 0.9291
28 H 0.9156 0.2570 0.4291
29 C 0.3333 0.7422 0.5832
30 C 0.3333 0.7578 0.0832
31 C 0.6667 0.2422 0.9168
32 C 0.6667 0.2578 0.4168
33 N 0.1557 0.7455 0.5388
34 N 0.1557 0.7545 0.0388
35 N 0.4220 0.7359 0.6720
36 N 0.4222 0.7449 0.5389
37 N 0.4222 0.7551 0.0388
38 N 0.4220 0.7641 0.1720
39 N 0.5780 0.2359 0.8280
40 N 0.5778 0.2449 0.9612
41 N 0.5778 0.2551 0.4612
42 N 0.5780 0.2641 0.3280
43 N 0.8443 0.2455 0.9612
44 N 0.8443 0.2545 0.4612
45 Cl 0.1384 0.2386 0.8885
46 Cl 0.1384 0.2614 0.3885
47 Cl 0.1386 0.2408 0.6808
48 Cl 0.1386 0.2592 0.1808
49 Cl 0.2769 0.7409 0.8192
50 Cl 0.2769 0.7591 0.3192
51 Cl 0.7231 0.2409 0.6808
52 Cl 0.7231 0.2591 0.1808
53 Cl 0.8614 0.7408 0.8192
54 Cl 0.8614 0.7592 0.3192
55 Cl 0.8616 0.7386 0.6115
56 Cl 0.8616 0.7614 0.1115

The 10 most intense peaks (2θ from 15° to 90°), by angle:
d/Å	two_theta	I_rel
3.597	24.75	34
3.337	26.71	100
2.648	33.86	33
2.601	34.48	29
2.233	40.40	33
2.175	41.52	15
2.089	43.30	15
2.059	43.97	18
2.023	44.80	19
1.728	52.98	16

=====

# 3
Theoretical powder X-ray diffraction pattern of TmMnB14 for copper Kα, from a crystal structure in Alexandria, relaxed with GGA-PBE.

Structural model:
Cell lengths 7.3331, 7.3331, 7.3331 Å; angles 132.94, 86.85, 111.95 degrees
Fractional positions:
1 Tm 0.3784 0.1284 0.2500
2 Tm 0.6216 0.8716 0.7500
3 Mn 0.0000 0.0000 0.5000
4 Mn 0.0000 0.5000 0.0000
5 B 0.0030 0.8719 0.1310
6 B 0.0316 0.2052 0.3305
7 B 0.0316 0.7011 0.8263
8 B 0.0865 0.6712 0.4153
9 B 0.1987 0.5316 0.6671
10 B 0.2245 0.5022 0.4030
11 B 0.2245 0.8215 0.7223
12 B 0.2409 0.8719 0.3690
13 B 0.2441 0.3288 0.9153
14 B 0.3645 0.5316 0.8329
15 B 0.3748 0.2052 0.6737
16 B 0.3748 0.7011 0.1695
17 B 0.4008 0.1785 0.9030
18 B 0.4008 0.4978 0.2223
19 B 0.5992 0.5022 0.7777
20 B 0.5992 0.8215 0.0970
21 B 0.6252 0.2989 0.8305
22 B 0.6252 0.7948 0.3263
23 B 0.6355 0.4684 0.1671
24 B 0.7559 0.6712 0.0847
25 B 0.7591 0.1281 0.6310
26 B 0.7755 0.1785 0.2777
27 B 0.7755 0.4978 0.5970
28 B 0.8013 0.4684 0.3329
29 B 0.9135 0.3288 0.5847
30 B 0.9684 0.2989 0.1737
31 B 0.9684 0.7948 0.6695
32 B 0.9970 0.1281 0.8690

The 10 most intense peaks (2θ from 15° to 90°), by angle:
d/Å	two_theta	I_rel
5.326	16.65	100
4.767	18.61	39
3.552	25.07	72
3.205	27.84	86
2.668	33.59	83
2.650	33.83	29
2.441	36.83	58
2.247	40.13	34
2.178	41.47	58
2.167	41.68	24

=====

# 4
Theoretical powder X-ray diffraction pattern of Ce2DyGe2Au2 for copper Kα, from a crystal structure in Alexandria, relaxed with GGA-PBE.

Structural model:
Cell lengths 9.5200, 9.5200, 9.5200 Å; angles 26.84, 26.84, 26.84 degrees
Fractional positions:
1 Ce 0.1412 0.1412 0.1412
2 Ce 0.8588 0.8588 0.8588
3 Dy 0.0000 0.0000 0.0000
4 Ge 0.2589 0.2589 0.2589
5 Ge 0.7411 0.7411 0.7411
6 Au 0.3990 0.3990 0.3990
7 Au 0.6010 0.6010 0.6010

The 10 most intense peaks (2θ from 15° to 90°), by angle:
d/Å	two_theta	I_rel
3.344	26.65	24
3.142	28.41	52
2.742	32.66	68
2.558	35.08	61
2.210	40.84	100
1.721	53.24	17
1.672	54.90	17
1.411	66.21	38
1.333	70.64	16
1.276	74.35	17

=====

# 5
Theoretical powder X-ray diffraction pattern of Ac3In5Ag6 for copper Kα, from a crystal structure in Alexandria, relaxed with GGA-PBE.

Structural model:
Cell lengths 9.1304, 9.1304, 9.1304 Å; angles 148.39, 114.62, 74.44 degrees
Fractional positions:
1 Ac 0.0000 0.0000 0.0000
2 Ac 0.3036 0.3036 0.0000
3 Ac 0.6964 0.6964 0.0000
4 In 0.0154 0.6617 0.3536
5 In 0.3081 0.6617 0.6464
6 In 0.5000 0.0000 0.5000
7 In 0.6919 0.3383 0.3536
8 In 0.9846 0.3383 0.6464
9 Ag 0.1475 0.8653 0.2821
10 Ag 0.3135 0.5000 0.8135
11 Ag 0.4168 0.1347 0.2821
12 Ag 0.5832 0.8653 0.7179
13 Ag 0.6865 0.5000 0.1865
14 Ag 0.8525 0.1347 0.7179

The 10 most intense peaks (2θ from 15° to 90°), by angle:
d/Å	two_theta	I_rel
3.471	25.66	24
2.926	30.55	26
2.838	31.52	100
2.813	31.81	25
2.743	32.65	41
2.721	32.92	31
2.566	34.97	29
2.487	36.12	54
2.424	37.10	26
1.835	49.68	22

=====

# 6
Theoretical powder X-ray diffraction pattern of Al4Fe3Si2 for copper Kα, from a crystal structure in Alexandria, relaxed with GGA-PBE.

Structural model:
Cell lengths 6.5597, 6.5597, 10.1558 Å; angles 90.00, 90.00, 147.25 degrees
Fractional positions:
1 Al 0.0412 0.9588 0.7500
2 Al 0.1791 0.8209 0.0198
3 Al 0.1791 0.8209 0.4802
4 Al 0.2407 0.7593 0.7500
5 Al 0.7593 0.2407 0.2500
6 Al 0.8209 0.1791 0.5198
7 Al 0.8209 0.1791 0.9802
8 Al 0.9588 0.0412 0.2500
9 Fe 0.1413 0.8587 0.2500
10 Fe 0.3643 0.6357 0.1265
11 Fe 0.3643 0.6357 0.3735
12 Fe 0.6357 0.3643 0.6265
13 Fe 0.6357 0.3643 0.8735
14 Fe 0.8587 0.1413 0.7500
15 Si 0.4416 0.5584 0.6065
16 Si 0.4416 0.5584 0.8935
17 Si 0.5584 0.4416 0.1065
18 Si 0.5584 0.4416 0.3935

The 10 most intense peaks (2θ from 15° to 90°), by angle:
d/Å	two_theta	I_rel
3.350	26.61	40
3.147	28.36	32
2.909	30.74	17
2.065	43.85	93
2.039	44.44	100
1.933	47.01	18
1.873	48.61	39
1.849	49.28	43
1.783	51.23	28
1.284	73.82	18